[1]
Computed powder diffractogram
Compound: Li2Ge3O8
Radiation: Cu Ka
Structure: a PBE-relaxed structure

Cell and atoms:
```
data_Li2Ge3O8
_cell_length_a 10.548
_cell_length_b 11.973
_cell_length_c 5.096
_cell_angle_alpha 90.00
_cell_angle_beta 111.13
_cell_angle_gamma 90.00
_space_group_name_H-M_alt 'C 1 2/c 1'
_space_group_IT_number 15
_space_group_name_Hall '-C 2yc'
loop_
_atom_site_label
_atom_site_type_symbol
_atom_site_fract_x
_atom_site_fract_y
_atom_site_fract_z
Li1 Li 0.000 0.055 0.250
Li2 Li 0.000 0.342 0.250
Ge1 Ge 0.000 0.204 0.750
Ge2 Ge 0.205 0.424 0.894
O1 O 0.082 0.195 0.482
O2 O 0.116 0.078 0.954
O3 O 0.119 0.313 0.979
O4 O 0.150 0.451 0.525
```

Peak list (12 most intense, 2θ = 10–90°, low angle first)
- hkl 1 1 -1, 2θ = 19.06°, d = 4.655 Å, rel. 100
- hkl 2 2 0, 2θ = 23.41°, d = 3.801 Å, rel. 74
- hkl 3 1 0, 2θ = 28.21°, d = 3.163 Å, rel. 41
- hkl 1 3 -1, 2θ = 28.50°, d = 3.132 Å, rel. 17
- hkl 1 3 1, 2θ = 32.63°, d = 2.744 Å, rel. 22
- hkl 2 2 1, 2θ = 34.06°, d = 2.632 Å, rel. 28
- hkl 3 3 -1, 2θ = 35.18°, d = 2.551 Å, rel. 40
- hkl 0 4 1, 2θ = 35.44°, d = 2.533 Å, rel. 26
- hkl 2 0 -2, 2θ = 35.53°, d = 2.526 Å, rel. 21
- hkl 4 4 1, 2θ = 56.98°, d = 1.616 Å, rel. 15
- hkl 6 4 -1, 2θ = 61.13°, d = 1.516 Å, rel. 22
- hkl 2 4 -3, 2θ = 62.95°, d = 1.476 Å, rel. 18

[2]
Computed powder diffractogram
Compound: Li2Ge2O5
Radiation: Cu Ka
Structure: a PBE-relaxed structure

Cell and atoms:
```
data_Li2Ge2O5
_cell_length_a 6.050
_cell_length_b 15.462
_cell_length_c 5.044
_cell_angle_alpha 90.00
_cell_angle_beta 90.00
_cell_angle_gamma 90.00
_space_group_name_H-M_alt 'C c c 2'
_space_group_IT_number 37
_space_group_name_Hall 'C 2 -2c'
loop_
_atom_site_label
_atom_site_type_symbol
_atom_site_fract_x
_atom_site_fract_y
_atom_site_fract_z
Li1 Li 0.151 0.056 0.000
Ge1 Ge 0.160 0.354 0.507
O1 O 0.112 0.365 0.156
O2 O 0.161 0.067 0.613
O3 O 0.250 0.250 0.600
```

Peak list (12 most intense, 2θ = 10–90°, low angle first)
- hkl 1 1 0, 2θ = 15.73°, d = 5.634 Å, rel. 20
- hkl 1 3 0, 2θ = 22.66°, d = 3.923 Å, rel. 50
- hkl 0 4 0, 2θ = 23.01°, d = 3.866 Å, rel. 47
- hkl 1 1 1, 2θ = 23.68°, d = 3.758 Å, rel. 100
- hkl 0 0 2, 2θ = 35.60°, d = 2.522 Å, rel. 23
- hkl 2 2 1, 2θ = 36.54°, d = 2.459 Å, rel. 30
- hkl 1 5 1, 2θ = 37.20°, d = 2.417 Å, rel. 24
- hkl 1 7 0, 2θ = 43.62°, d = 2.075 Å, rel. 12
- hkl 3 3 0, 2θ = 48.47°, d = 1.878 Å, rel. 16
- hkl 3 3 2, 2θ = 61.57°, d = 1.506 Å, rel. 11
- hkl 2 2 3, 2θ = 64.55°, d = 1.444 Å, rel. 14
- hkl 1 5 3, 2θ = 64.99°, d = 1.435 Å, rel. 12

[3]
Computed powder diffractogram
Compound: Li4GeO5
Radiation: Cu Ka
Structure: a PBE-relaxed structure

Cell and atoms:
```
data_Li4GeO5
_cell_length_a 6.587
_cell_length_b 6.587
_cell_length_c 4.067
_cell_angle_alpha 90.00
_cell_angle_beta 90.00
_cell_angle_gamma 90.00
_space_group_name_H-M_alt 'I 4/m'
_space_group_IT_number 87
_space_group_name_Hall '-I 4'
loop_
_atom_site_label
_atom_site_type_symbol
_atom_site_fract_x
_atom_site_fract_y
_atom_site_fract_z
Li1 Li 0.087 0.696 0.000
Ge1 Ge 0.000 0.000 0.500
O1 O 0.000 0.000 0.000
O2 O 0.082 0.728 0.500
```

Peak list (12 most intense, 2θ = 10–90°, low angle first)
- hkl 1 1 0, 2θ = 19.05°, d = 4.658 Å, rel. 100
- hkl 1 0 1, 2θ = 25.75°, d = 3.460 Å, rel. 95
- hkl 2 0 0, 2θ = 27.07°, d = 3.294 Å, rel. 37
- hkl 2 1 1, 2θ = 37.71°, d = 2.386 Å, rel. 21
- hkl 3 1 0, 2θ = 43.44°, d = 2.083 Å, rel. 57
- hkl 0 0 2, 2θ = 44.56°, d = 2.033 Å, rel. 26
- hkl 1 1 2, 2θ = 48.87°, d = 1.864 Å, rel. 16
- hkl 3 2 1, 2θ = 55.11°, d = 1.666 Å, rel. 15
- hkl 4 1 1, 2θ = 62.46°, d = 1.487 Å, rel. 16
- hkl 2 4 0, 2θ = 63.12°, d = 1.473 Å, rel. 18
- hkl 3 1 2, 2θ = 63.99°, d = 1.455 Å, rel. 31
- hkl 2 4 2, 2θ = 80.52°, d = 1.193 Å, rel. 16

[4]
Computed powder diffractogram
Compound: Li2Ge2O
Radiation: Cu Ka
Structure: a PBE-relaxed structure

Cell and atoms:
```
data_Li2Ge2O
_cell_length_a 5.984
_cell_length_b 5.984
_cell_length_c 4.401
_cell_angle_alpha 90.00
_cell_angle_beta 90.00
_cell_angle_gamma 90.00
_space_group_name_H-M_alt 'P 4/m b m'
_space_group_IT_number 127
_space_group_name_Hall '-P 4 2ab'
loop_
_atom_site_label
_atom_site_type_symbol
_atom_site_fract_x
_atom_site_fract_y
_atom_site_fract_z
Li1 Li 0.152 0.348 0.000
Ge1 Ge 0.163 0.663 0.500
O1 O 0.000 0.000 0.500
```

Peak list (12 most intense, 2θ = 10–90°, low angle first)
- hkl 0 0 1, 2θ = 20.18°, d = 4.401 Å, rel. 100
- hkl 2 0 0, 2θ = 29.86°, d = 2.992 Å, rel. 9
- hkl 2 1 0, 2θ = 33.48°, d = 2.676 Å, rel. 50
- hkl 2 0 1, 2θ = 36.31°, d = 2.474 Å, rel. 8
- hkl 2 1 1, 2θ = 39.41°, d = 2.287 Å, rel. 85
- hkl 0 0 2, 2θ = 41.01°, d = 2.201 Å, rel. 20
- hkl 3 1 0, 2θ = 48.08°, d = 1.892 Å, rel. 16
- hkl 3 1 1, 2θ = 52.65°, d = 1.738 Å, rel. 18
- hkl 2 1 2, 2θ = 53.94°, d = 1.700 Å, rel. 25
- hkl 3 1 2, 2θ = 65.00°, d = 1.435 Å, rel. 12
- hkl 4 1 1, 2θ = 68.01°, d = 1.378 Å, rel. 13
- hkl 2 1 3, 2θ = 73.63°, d = 1.286 Å, rel. 13

[5]
Computed powder diffractogram
Compound: LiGe2P3O12
Radiation: Cu Ka
Structure: a PBE-relaxed structure

Cell and atoms:
```
data_LiGe2P3O12
_cell_length_a 8.3905
_cell_length_b 8.3905
_cell_length_c 20.7210
_cell_angle_alpha 90.00
_cell_angle_beta 90.00
_cell_angle_gamma 120.00
_space_group_name_H-M_alt 'R -3 c'
_space_group_IT_number 167
_space_group_name_Hall '-R 3 2"c'
loop_
_atom_site_label
_atom_site_type_symbol
_atom_site_fract_x
_atom_site_fract_y
_atom_site_fract_z
Li1 Li 0.0000 0.0000 0.0000
Ge1 Ge 0.0000 0.0000 0.1410
P1 P 0.0000 0.2883 0.2500
O1 O 0.0142 0.1962 0.1881
O2 O 0.0253 0.1845 0.9185
```

Peak list (12 most intense, 2θ = 10–90°, low angle first)
- hkl 0 1 2, 2θ = 14.89°, d = 5.949 Å, rel. 29
- hkl 1 0 4, 2θ = 21.06°, d = 4.218 Å, rel. 97
- hkl 1 1 0, 2θ = 21.18°, d = 4.195 Å, rel. 74
- hkl 1 1 3, 2θ = 24.83°, d = 3.586 Å, rel. 100
- hkl 0 2 4, 2θ = 30.04°, d = 2.975 Å, rel. 64
- hkl 2 1 1, 2θ = 32.90°, d = 2.723 Å, rel. 18
- hkl 1 1 6, 2θ = 33.61°, d = 2.666 Å, rel. 43
- hkl 3 0 0, 2θ = 37.09°, d = 2.424 Å, rel. 57
- hkl 1 2 8, 2θ = 48.30°, d = 1.884 Å, rel. 27
- hkl 2 2 6, 2θ = 50.94°, d = 1.793 Å, rel. 17
- hkl 2 1 10, 2θ = 55.56°, d = 1.654 Å, rel. 16
- hkl 4 1 0, 2θ = 58.16°, d = 1.586 Å, rel. 36

[6]
Computed powder diffractogram
Compound: Li2GePdO4
Radiation: Cu Ka
Structure: a PBE-relaxed structure

Cell and atoms:
```
data_Li2GePdO4
_cell_length_a 5.591
_cell_length_b 5.591
_cell_length_c 5.577
_cell_angle_alpha 90.00
_cell_angle_beta 90.00
_cell_angle_gamma 90.00
_space_group_name_H-M_alt 'I -4'
_space_group_IT_number 82
_space_group_name_Hall 'I -4'
loop_
_atom_site_label
_atom_site_type_symbol
_atom_site_fract_x
_atom_site_fract_y
_atom_site_fract_z
Li1 Li 0.000 0.000 0.000
Li2 Li 0.000 0.500 0.250
Ge1 Ge 0.000 0.500 0.750
Pd1 Pd 0.000 0.000 0.500
O1 O 0.169 0.673 0.536
```

Peak list (12 most intense, 2θ = 10–90°, low angle first)
- hkl 1 0 1, 2θ = 22.52°, d = 3.949 Å, rel. 100
- hkl 2 0 0, 2θ = 32.03°, d = 2.794 Å, rel. 35
- hkl 1 1 2, 2θ = 39.52°, d = 2.280 Å, rel. 90
- hkl 2 2 0, 2θ = 45.91°, d = 1.977 Å, rel. 19
- hkl 3 0 1, 2θ = 51.71°, d = 1.768 Å, rel. 11
- hkl 1 0 3, 2θ = 51.82°, d = 1.764 Å, rel. 8
- hkl 3 1 2, 2θ = 62.17°, d = 1.493 Å, rel. 56
- hkl 1 4 1, 2θ = 71.62°, d = 1.318 Å, rel. 8
- hkl 2 4 0, 2θ = 76.14°, d = 1.250 Å, rel. 8
- hkl 2 0 4, 2θ = 76.32°, d = 1.248 Å, rel. 6
- hkl 3 3 2, 2θ = 80.67°, d = 1.191 Å, rel. 8
- hkl 1 4 3, 2θ = 89.40°, d = 1.096 Å, rel. 11

[7]
Computed powder diffractogram
Compound: LiPmGe2O6
Radiation: Cu Ka
Structure: a PBE-relaxed structure

Cell and atoms:
```
data_LiPmGe2O6
_cell_length_a 10.478
_cell_length_b 9.870
_cell_length_c 5.804
_cell_angle_alpha 90.00
_cell_angle_beta 111.02
_cell_angle_gamma 90.00
_space_group_name_H-M_alt 'C 1 2/c 1'
_space_group_IT_number 15
_space_group_name_Hall '-C 2yc'
loop_
_atom_site_label
_atom_site_type_symbol
_atom_site_fract_x
_atom_site_fract_y
_atom_site_fract_z
Li1 Li 0.000 0.226 0.250
Pm1 Pm 0.000 0.122 0.750
Ge1 Ge 0.198 0.419 0.701
O1 O 0.119 0.265 0.593
O2 O 0.120 0.079 0.171
O3 O 0.146 0.457 0.960
```

Peak list (12 most intense, 2θ = 10–90°, low angle first)
- hkl 1 1 0, 2θ = 12.74°, d = 6.947 Å, rel. 31
- hkl 1 1 -1, 2θ = 18.00°, d = 4.928 Å, rel. 49
- hkl 1 1 1, 2θ = 23.25°, d = 3.826 Å, rel. 46
- hkl 2 2 -1, 2θ = 26.72°, d = 3.336 Å, rel. 100
- hkl 3 1 0, 2θ = 28.84°, d = 3.096 Å, rel. 60
- hkl 1 3 -1, 2θ = 31.42°, d = 2.847 Å, rel. 17
- hkl 1 1 -2, 2θ = 32.27°, d = 2.774 Å, rel. 18
- hkl 0 0 2, 2θ = 33.07°, d = 2.709 Å, rel. 25
- hkl 2 2 1, 2θ = 34.02°, d = 2.635 Å, rel. 34
- hkl 4 0 -2, 2θ = 39.83°, d = 2.263 Å, rel. 18
- hkl 2 2 -3, 2θ = 50.68°, d = 1.801 Å, rel. 22
- hkl 5 3 -1, 2θ = 51.72°, d = 1.767 Å, rel. 14

[8]
Computed powder diffractogram
Compound: Li2PuGeO6
Radiation: Cu Ka
Structure: a PBE-relaxed structure

Cell and atoms:
```
data_Li2PuGeO6
_cell_length_a 5.557
_cell_length_b 5.557
_cell_length_c 4.134
_cell_angle_alpha 90.00
_cell_angle_beta 90.00
_cell_angle_gamma 90.00
_space_group_name_H-M_alt 'P 4 m m'
_space_group_IT_number 99
_space_group_name_Hall 'P 4 -2'
loop_
_atom_site_label
_atom_site_type_symbol
_atom_site_fract_x
_atom_site_fract_y
_atom_site_fract_z
Li1 Li 0.000 0.500 0.000
Pu1 Pu 0.000 0.000 0.739
Ge1 Ge 0.500 0.500 0.686
O1 O 0.000 0.000 0.245
O2 O 0.261 0.261 0.781
O3 O 0.500 0.500 0.261
```

Peak list (12 most intense, 2θ = 10–90°, low angle first)
- hkl 1 0 0, 2θ = 15.95°, d = 5.557 Å, rel. 44
- hkl 0 0 1, 2θ = 21.50°, d = 4.134 Å, rel. 58
- hkl 1 1 0, 2θ = 22.63°, d = 3.929 Å, rel. 100
- hkl 1 0 1, 2θ = 26.88°, d = 3.317 Å, rel. 29
- hkl 1 1 1, 2θ = 31.41°, d = 2.848 Å, rel. 59
- hkl 2 0 0, 2θ = 32.22°, d = 2.779 Å, rel. 30
- hkl 2 2 0, 2θ = 46.20°, d = 1.965 Å, rel. 23
- hkl 1 1 2, 2θ = 49.85°, d = 1.829 Å, rel. 25
- hkl 2 2 1, 2θ = 51.50°, d = 1.775 Å, rel. 22
- hkl 3 1 0, 2θ = 52.04°, d = 1.757 Å, rel. 21
- hkl 3 1 1, 2θ = 56.94°, d = 1.617 Å, rel. 24
- hkl 3 1 2, 2θ = 70.33°, d = 1.339 Å, rel. 21